The following is a computed PXRD pattern of LiCoO3. It was derived from a crystal structure in OQMD, relaxed with GGA+U, using Cu Kα X-rays.
Neutral-atom scattering factors, no anomalous dispersion.

Peak list (6 most intense, 5 to 70 degrees two-theta, low angle first)
2theta  I/Imax
18.91  100
22.26  36
24.46  17
37.75  23
44.90  20
45.73  42

Structure:
Unit cell a=4.8464 b=4.8464 c=5.0045 alpha=99.98 beta=99.98 gamma=120.07
Fractional positions:
Li 0.0000 0.0000 0.0000
Li 0.5000 0.5000 0.5000
Co 0.1649 0.8351 0.5000
Co 0.8351 0.1649 0.5000
O 0.0551 0.4091 0.2885
O 0.2082 0.2082 0.7204
O 0.4091 0.0551 0.2885
O 0.5909 0.9449 0.7115
O 0.7918 0.7918 0.2796
O 0.9449 0.5909 0.7115